[1]
# La3CePt3
Theoretical powder X-ray diffraction pattern, Cu Kα. Input: a structure optimized by DFT (PBE).
Intensities are scaled so that the largest is 100.

Principal peaks in the range 10° ≤ 2θ ≤ 90°, in order of rising 2θ:
| d [Å] | Position (°2θ) | intensity |
| --- | --- | --- |
| 3.498 | 25.5 | 38 |
| 3.191 | 28.0 | 40 |
| 3.104 | 28.8 | 89 |
| 2.885 | 31.0 | 49 |
| 2.854 | 31.3 | 71 |
| 2.714 | 33.0 | 42 |
| 2.543 | 35.3 | 100 |
| 2.517 | 35.7 | 86 |
| 2.422 | 37.1 | 34 |
| 2.106 | 42.9 | 70 |

Cell: 12.556 4.213 14.799 Å, 90.00 90.00 90.00°
Space group Pnma (No. 62)
Inequivalent atoms, fractional coordinates:
La: 0.054 0.250 0.099 [4 per cell]
La: 0.178 0.750 0.518 [4 per cell]
La: 0.247 0.750 0.801 [4 per cell]
Ce: 0.027 0.250 0.691 [4 per cell]
Pt: 0.054 0.250 0.420 [4 per cell]
Pt: 0.111 0.250 0.894 [4 per cell]
Pt: 0.235 0.750 0.155 [4 per cell]

[2]
# Na3Sc2B3O9
Theoretical powder X-ray diffraction pattern, Cu Kα. Input: a structure optimized by DFT (PBE).
Intensities are scaled so that the largest is 100.

Principal peaks in the range 10° ≤ 2θ ≤ 90°, in order of rising 2θ:
| d [Å] | Position (°2θ) | intensity |
| --- | --- | --- |
| 6.023 | 14.7 | 100 |
| 4.183 | 21.2 | 22 |
| 3.520 | 25.3 | 21 |
| 2.655 | 33.8 | 71 |
| 2.505 | 35.8 | 38 |
| 2.064 | 43.9 | 29 |
| 1.884 | 48.3 | 20 |
| 1.822 | 50.1 | 30 |
| 1.473 | 63.1 | 16 |
| 1.394 | 67.1 | 15 |

Cell: 8.6777 8.6777 20.1384 Å, 90.00 90.00 120.00°
Space group R-3c (No. 167, hexagonal axes)
Inequivalent atoms, fractional coordinates:
Na: 0.9999 0.3333 0.0833 [18 per cell]
Sc: 0.0000 0.0000 0.1720 [12 per cell]
B: 0.0000 0.3398 0.2500 [18 per cell]
O: 0.0000 0.1794 0.2500 [18 per cell]
O: 0.0287 0.2181 0.6240 [36 per cell]

[3]
# Na2Cd3Hg5
Theoretical powder X-ray diffraction pattern, Cu Kα. Input: a structure optimized by DFT (PBE).
Intensities are scaled so that the largest is 100.

Principal peaks in the range 10° ≤ 2θ ≤ 90°, in order of rising 2θ:
| d [Å] | Position (°2θ) | intensity |
| --- | --- | --- |
| 4.397 | 20.2 | 38 |
| 3.682 | 24.2 | 25 |
| 2.906 | 30.8 | 31 |
| 2.823 | 31.7 | 100 |
| 2.686 | 33.4 | 28 |
| 2.474 | 36.3 | 56 |
| 2.400 | 37.5 | 33 |
| 2.170 | 41.6 | 75 |
| 1.722 | 53.2 | 19 |
| 1.362 | 68.9 | 18 |

Cell: 4.947 28.796 7.363 Å, 90.00 90.00 90.00°
Space group Cmc2_1 (No. 36)
Inequivalent atoms, fractional coordinates:
Na: 0.000 0.016 0.000 [4 per cell]
Na: 0.000 0.325 0.001 [4 per cell]
Cd: 0.000 0.103 0.308 [4 per cell]
Cd: 0.000 0.285 0.482 [4 per cell]
Cd: 0.000 0.444 0.194 [4 per cell]
Hg: 0.000 0.111 0.722 [4 per cell]
Hg: 0.000 0.203 0.223 [4 per cell]
Hg: 0.000 0.214 0.764 [4 per cell]
Hg: 0.000 0.385 0.526 [4 per cell]
Hg: 0.000 0.459 0.802 [4 per cell]

[4]
# TiPPd
Theoretical powder X-ray diffraction pattern, Cu Kα. Input: a structure optimized by DFT (PBE).
Intensities are scaled so that the largest is 100.

Principal peaks in the range 10° ≤ 2θ ≤ 90°, in order of rising 2θ:
| d [Å] | Position (°2θ) | intensity |
| --- | --- | --- |
| 4.181 | 21.2 | 48 |
| 3.486 | 25.6 | 42 |
| 2.424 | 37.1 | 87 |
| 2.415 | 37.2 | 100 |
| 2.408 | 37.3 | 90 |
| 2.223 | 40.6 | 53 |
| 2.216 | 40.7 | 49 |
| 2.108 | 42.9 | 46 |
| 2.085 | 43.4 | 56 |
| 1.838 | 49.6 | 79 |

Cell: 6.451 3.674 11.040 Å, 90.00 90.35 90.00°
Space group P2_1/m (No. 11)
Inequivalent atoms, fractional coordinates:
Ti: 0.032 0.250 0.109 [2 per cell]
Ti: 0.160 0.250 0.420 [2 per cell]
Ti: 0.442 0.750 0.788 [2 per cell]
P: 0.236 0.750 0.580 [2 per cell]
P: 0.246 0.250 0.909 [2 per cell]
P: 0.251 0.750 0.250 [2 per cell]
Pd: 0.103 0.250 0.704 [2 per cell]
Pd: 0.351 0.750 0.044 [2 per cell]
Pd: 0.499 0.250 0.592 [2 per cell]

[5]
# Pm4PrY2
Theoretical powder X-ray diffraction pattern, Cu Kα. Input: a structure optimized by DFT (PBE).
Intensities are scaled so that the largest is 100.

Principal peaks in the range 10° ≤ 2θ ≤ 90°, in order of rising 2θ:
| d [Å] | Position (°2θ) | intensity |
| --- | --- | --- |
| 3.526 | 25.3 | 21 |
| 3.191 | 28.0 | 22 |
| 3.006 | 29.7 | 97 |
| 2.958 | 30.2 | 100 |
| 2.874 | 31.1 | 77 |
| 2.713 | 33.0 | 69 |
| 2.573 | 34.9 | 19 |
| 2.296 | 39.2 | 26 |
| 1.794 | 50.9 | 25 |
| 1.685 | 54.5 | 31 |

Cell: 6.899 11.497 12.309 Å, 90.00 90.00 90.00°
Space group Imma (No. 74)
Inequivalent atoms, fractional coordinates:
Pm: 0.000 0.002 0.144 [8 per cell]
Pm: 0.220 0.250 0.991 [8 per cell]
Pr: 0.250 0.250 0.250 [4 per cell]
Y: 0.000 0.000 0.500 [4 per cell]
Y: 0.000 0.250 0.719 [4 per cell]

[6]
# AcPmNbN4
Theoretical powder X-ray diffraction pattern, Cu Kα. Input: a structure optimized by DFT (PBE).
Intensities are scaled so that the largest is 100.

Principal peaks in the range 10° ≤ 2θ ≤ 90°, in order of rising 2θ:
| d [Å] | Position (°2θ) | intensity |
| --- | --- | --- |
| 3.909 | 22.8 | 17 |
| 3.203 | 27.9 | 9 |
| 2.959 | 30.2 | 100 |
| 2.902 | 30.8 | 64 |
| 2.151 | 42.0 | 19 |
| 2.052 | 44.1 | 30 |
| 1.720 | 53.3 | 13 |
| 1.686 | 54.4 | 40 |
| 1.480 | 62.8 | 10 |
| 1.298 | 72.9 | 11 |

Cell: 5.809 12.813 5.800 Å, 90.00 90.00 90.00°
Space group Cmcm (No. 63)
Inequivalent atoms, fractional coordinates:
Ac: 0.000 0.103 0.250 [4 per cell]
Pm: 0.000 0.389 0.250 [4 per cell]
Nb: 0.000 0.262 0.750 [4 per cell]
N: 0.000 0.086 0.750 [4 per cell]
N: 0.000 0.422 0.750 [4 per cell]
N: 0.250 0.250 0.000 [8 per cell]

[7]
# Pm2Al12Au7
Theoretical powder X-ray diffraction pattern, Cu Kα. Input: a structure optimized by DFT (PBE).
Intensities are scaled so that the largest is 100.

Principal peaks in the range 10° ≤ 2θ ≤ 90°, in order of rising 2θ:
| d [Å] | Position (°2θ) | intensity |
| --- | --- | --- |
| 3.442 | 25.9 | 100 |
| 3.245 | 27.5 | 55 |
| 3.057 | 29.2 | 67 |
| 2.643 | 33.9 | 72 |
| 2.154 | 41.9 | 35 |
| 1.987 | 45.6 | 53 |
| 1.864 | 48.9 | 38 |
| 1.769 | 51.7 | 22 |
| 1.431 | 65.2 | 21 |
| 1.316 | 71.7 | 18 |

Cell: 10.5164 10.5164 4.1236 Å, 90.00 90.00 120.00°
Space group P-3 (No. 147)
Inequivalent atoms, fractional coordinates:
Pm: 0.3333 0.6667 0.2638 [2 per cell]
Al: 0.0521 0.4348 0.7478 [6 per cell]
Al: 0.1156 0.2667 0.2603 [6 per cell]
Au: 0.0000 0.0000 0.5000 [1 per cell]
Au: 0.1204 0.7095 0.7632 [6 per cell]

[8]
# TbGa3Ge
Theoretical powder X-ray diffraction pattern, Cu Kα. Input: a structure optimized by DFT (PBE).
Intensities are scaled so that the largest is 100.

Principal peaks in the range 10° ≤ 2θ ≤ 90°, in order of rising 2θ:
| d [Å] | Position (°2θ) | intensity |
| --- | --- | --- |
| 7.936 | 11.1 | 37 |
| 4.091 | 21.7 | 20 |
| 2.676 | 33.5 | 51 |
| 2.526 | 35.5 | 45 |
| 2.387 | 37.7 | 43 |
| 2.313 | 38.9 | 100 |
| 2.097 | 43.1 | 22 |
| 1.978 | 45.9 | 23 |
| 1.523 | 60.8 | 19 |
| 1.252 | 76.0 | 20 |

Cell: 9.548 2.977 7.936 Å, 90.00 90.00 90.00°
Space group Pmma (No. 51)
Inequivalent atoms, fractional coordinates:
Tb: 0.250 0.000 0.170 [2 per cell]
Ga: 0.000 0.500 0.000 [2 per cell]
Ga: 0.004 0.500 0.660 [4 per cell]
Ge: 0.250 0.500 0.810 [2 per cell]

[9]
# La3Pr13
Theoretical powder X-ray diffraction pattern, Cu Kα. Input: a structure optimized by DFT (PBE).
Intensities are scaled so that the largest is 100.

Principal peaks in the range 10° ≤ 2θ ≤ 90°, in order of rising 2θ:
| d [Å] | Position (°2θ) | intensity |
| --- | --- | --- |
| 3.037 | 29.4 | 100 |
| 2.643 | 33.9 | 17 |
| 2.623 | 34.2 | 34 |
| 1.862 | 48.9 | 24 |
| 1.855 | 49.1 | 12 |
| 1.592 | 57.9 | 15 |
| 1.583 | 58.3 | 29 |
| 1.518 | 61.0 | 13 |
| 1.208 | 79.3 | 12 |
| 1.204 | 79.6 | 6 |

Cell: 10.571 10.489 10.498 Å, 90.00 90.00 90.00°
Space group Amm2 (No. 38)
Inequivalent atoms, fractional coordinates:
La: 0.000 0.000 0.000 [2 per cell]
La: 0.250 0.000 0.251 [4 per cell]
Pr: 0.000 0.000 0.501 [2 per cell]
Pr: 0.000 0.250 0.251 [4 per cell]
Pr: 0.251 0.000 0.750 [4 per cell]
Pr: 0.251 0.250 0.001 [8 per cell]
Pr: 0.500 0.000 0.001 [2 per cell]
Pr: 0.500 0.000 0.501 [2 per cell]
Pr: 0.500 0.250 0.251 [4 per cell]

[10]
# MoW11
Theoretical powder X-ray diffraction pattern, Cu Kα. Input: a structure optimized by DFT (PBE).
Intensities are scaled so that the largest is 100.

Principal peaks in the range 10° ≤ 2θ ≤ 90°, in order of rising 2θ:
| d [Å] | Position (°2θ) | intensity |
| --- | --- | --- |
| 4.587 | 19.4 | 67 |
| 2.649 | 33.8 | 17 |
| 2.593 | 34.6 | 47 |
| 2.294 | 39.3 | 100 |
| 2.257 | 39.9 | 21 |
| 1.853 | 49.2 | 12 |
| 1.718 | 53.3 | 83 |
| 1.324 | 71.2 | 18 |
| 1.179 | 81.6 | 25 |
| 1.129 | 86.2 | 22 |

Cell: 2.593 5.300 18.338 Å, 90.00 90.00 90.00°
Space group Pmmm (No. 47)
Inequivalent atoms, fractional coordinates:
Mo: 0.000 0.000 0.000 [1 per cell]
W: 0.000 0.000 0.500 [1 per cell]
W: 0.000 0.250 0.125 [4 per cell]
W: 0.000 0.250 0.375 [4 per cell]
W: 0.000 0.500 0.249 [2 per cell]

[11]
# LiLa2FeSn
Theoretical powder X-ray diffraction pattern, Cu Kα. Input: a structure optimized by DFT (PBE).
Intensities are scaled so that the largest is 100.

Principal peaks in the range 10° ≤ 2θ ≤ 90°, in order of rising 2θ:
| d [Å] | Position (°2θ) | intensity |
| --- | --- | --- |
| 5.268 | 16.8 | 53 |
| 5.025 | 17.7 | 34 |
| 2.992 | 29.9 | 100 |
| 2.634 | 34.0 | 65 |
| 2.512 | 35.7 | 28 |
| 2.333 | 38.6 | 18 |
| 1.863 | 48.9 | 23 |
| 1.818 | 50.2 | 43 |
| 1.581 | 58.4 | 31 |
| 1.496 | 62.0 | 23 |

Cell: 5.268 5.268 5.025 Å, 90.00 90.00 90.00°
Space group P4/mmm (No. 123)
Inequivalent atoms, fractional coordinates:
Li: 0.000 0.000 0.000 [1 per cell]
La: 0.000 0.500 0.500 [2 per cell]
Fe: 0.500 0.500 0.500 [1 per cell]
Sn: 0.500 0.500 0.000 [1 per cell]